Diffraction record for Na8BeAl4Si7Br2O24. The powder XRD pattern is simulated, not measured: it uses a crystal structure in the Materials Project, relaxed with PBE and Cu Kα.

Main lines, sorted by position (5° ≤ 2θ ≤ 70°):
- 19.6°, I 5
- 24.1°, I 100
- 34.3°, I 9
- 37.1°, I 22
- 37.2°, I 10
- 42.3°, I 15
- 42.4°, I 12
- 47.0°, I 5
- 55.6°, I 6
- 63.3°, I 12

a b c (Å): 9.043 9.043 9.094
angles (deg): 90.00 90.00 90.00
Space group P-4 (No. 81)
Asymmetric unit:
Na 0.185 0.694 0.441 [4 per cell]
Na 0.209 0.314 0.055 [4 per cell]
Be 0.500 0.500 0.000 [1 per cell]
Al 0.001 0.252 0.750 [4 per cell]
Si 0.000 0.000 0.000 [1 per cell]
Si 0.000 0.000 0.500 [1 per cell]
Si 0.259 0.497 0.755 [4 per cell]
Si 0.500 0.500 0.500 [1 per cell]
Br 0.000 0.500 0.253 [2 per cell]
O 0.043 0.147 0.905 [4 per cell]
O 0.043 0.854 0.596 [4 per cell]
O 0.159 0.644 0.784 [4 per cell]
O 0.160 0.354 0.705 [4 per cell]
O 0.356 0.538 0.601 [4 per cell]
O 0.357 0.460 0.896 [4 per cell]



Diffraction record for LaNi3Rh2. The powder XRD pattern is simulated, not measured: it uses a crystal structure in the Materials Project, relaxed with PBE and Cu Kα.

Main lines, sorted by position (5° ≤ 2θ ≤ 70°):
- 29.5°, I 40
- 30.1°, I 61
- 35.1°, I 30
- 39.6°, I 70
- 40.5°, I 85
- 41.2°, I 25
- 41.8°, I 100
- 44.8°, I 55
- 45.7°, I 25
- 61.3°, I 38

a b c (Å): 5.326 8.755 4.049
angles (deg): 90.00 90.00 90.00
Space group Cmmm (No. 65)
Asymmetric unit:
La 0.000 0.000 0.000 [2 per cell]
Ni 0.000 0.343 0.000 [4 per cell]
Ni 0.000 0.500 0.500 [2 per cell]
Rh 0.250 0.250 0.500 [4 per cell]



Diffraction record for Sr2LaGa11O20. The powder XRD pattern is simulated, not measured: it uses a crystal structure in the Materials Project, relaxed with PBE and Cu Kα.

Main lines, sorted by position (5° ≤ 2θ ≤ 70°):
- 28.5°, I 100
- 29.1°, I 64
- 29.5°, I 32
- 30.5°, I 20
- 31.0°, I 63
- 34.7°, I 50
- 35.6°, I 28
- 42.4°, I 19
- 56.3°, I 25
- 56.8°, I 23

a b c (Å): 15.533 11.813 5.166
angles (deg): 90.00 108.43 90.00
Space group Cm (No. 8)
Asymmetric unit:
Sr 0.000 0.000 0.000 [2 per cell]
Sr 0.224 0.500 0.710 [2 per cell]
La 0.289 0.000 0.300 [2 per cell]
Ga 0.004 0.500 0.002 [2 per cell]
Ga 0.006 0.368 0.499 [4 per cell]
Ga 0.144 0.285 0.160 [4 per cell]
Ga 0.148 0.136 0.648 [4 per cell]
Ga 0.362 0.364 0.347 [4 per cell]
Ga 0.367 0.216 0.837 [4 per cell]
O 0.069 0.500 0.391 [2 per cell]
O 0.079 0.381 0.887 [4 per cell]
O 0.084 0.249 0.415 [4 per cell]
O 0.101 0.000 0.489 [2 per cell]
O 0.156 0.139 0.016 [4 per cell]
O 0.245 0.363 0.359 [4 per cell]
O 0.266 0.133 0.631 [4 per cell]
O 0.361 0.360 0.985 [4 per cell]
O 0.413 0.500 0.500 [2 per cell]
O 0.422 0.116 0.115 [4 per cell]
O 0.426 0.250 0.580 [4 per cell]
O 0.433 0.000 0.609 [2 per cell]